For Cs3Ag2HgCl9, a cell relaxed with PBE gives the simulated XRD peak list in this record (Cu Kα).
Lines closer than 0.1° are merged.

Peak list (10 most intense, 2θ = 10–90°, sorted by position)
2θ/deg	Rel. int.
23.9	100.0
29.4	7.6
34.0	52.8
42.0	46.2
48.9	35.9
55.1	21.1
60.9	12.1
66.4	23.9
76.7	11.9
81.7	15.7

Cell and atoms:
Unit cell a=7.4491 b=7.4491 c=9.1329 alpha=90.00 beta=90.00 gamma=120.00
Space group P-3m1 (No. 164)
Unique sites:
Cs1 0.0000 0.0000 0.0000
Cs2 0.3333 0.6667 0.6669
Ag1 0.3333 0.6667 0.1602
Hg1 0.0000 0.0000 0.5000
Cl1 0.0000 0.5000 0.0000
Cl2 0.1686 0.3371 0.3293